Record 1
Theoretical powder XRD pattern of MgTl4In for Cu Kα, 1.54184 Å, from DFT lattice parameters and positions (GGA-PBE).
Peak positions follow from Bragg's law for the DFT cell and can differ from measured ones.

Peak list (6 most intense, 10 to 90 degrees two-theta, by angle)
hkl 2 0 2, 2θ 28.54, I = 41.4
hkl 0 4 0, 2θ 30.55, I = 72.9
hkl 2 2 0, 2θ 30.82, I = 67.6
hkl 0 2 6, 2θ 33.81, I = 100.0
hkl 2 2 4, 2θ 36.97, I = 92.0
hkl 2 0 10, 2θ 58.62, I = 42.9

Cell lengths 6.6800, 11.7045, 17.8408 Å; angles 90.00, 90.00, 90.00 degrees
Space group Fddd (No. 70, origin choice 2)
One atom of each set of equivalent atoms:
Mg  0.1250  0.1250  0.1250 x8
Tl  0.1243  0.3725  0.2172 x32
In  0.1250  0.1250  0.6250 x8

Record 2
Theoretical powder XRD pattern of Sc2Ga5Tc for Cu Kα, 1.54184 Å, from DFT lattice parameters and positions (GGA-PBE).
Peak positions follow from Bragg's law for the DFT cell and can differ from measured ones.

Peak list (6 most intense, 10 to 90 degrees two-theta, by angle)
hkl 2 1 1, 2θ 34.93, I = 20.7
hkl 2 0 2, 2θ 38.85, I = 100.0
hkl 1 0 3, 2θ 41.22, I = 19.6
hkl 2 2 0, 2θ 41.39, I = 47.4
hkl 3 0 1, 2θ 45.98, I = 17.9
hkl 3 2 3, 2θ 67.82, I = 17.6

Cell lengths 6.1700, 6.1700, 7.0274 Å; angles 90.00, 90.00, 90.00 degrees
Space group I4mm (No. 107)
One atom of each set of equivalent atoms:
Sc  0.0000  0.5000  0.0000 x4
Ga  0.0000  0.0000  0.0449 x2
Ga  0.2144  0.2144  0.7486 x8
Tc  0.0000  0.0000  0.4173 x2

Record 3
Theoretical powder XRD pattern of Na5CdO4 for Cu Kα, 1.54184 Å, from DFT lattice parameters and positions (GGA-PBE).
Peak positions follow from Bragg's law for the DFT cell and can differ from measured ones.

Peak list (6 most intense, 10 to 90 degrees two-theta, by angle)
hkl 0 1 1, 2θ 14.26, I = 100.0
hkl 0 0 2, 2θ 15.30, I = 46.3
hkl 1 1 0, 2θ 28.71, I = 66.3
hkl 1 1 2, 2θ 32.66, I = 32.1
hkl 1 0 3, 2θ 34.97, I = 40.0
hkl 1 1 4, 2θ 42.65, I = 28.1

Cell lengths 3.4343, 7.3606, 11.5834 Å; angles 90.00, 90.00, 90.00 degrees
Space group Immm (No. 71)
One atom of each set of equivalent atoms:
Na  0.0000  0.0000  0.0000 x2
Na  0.0000  0.2763  0.1582 x8
Cd  0.0000  0.0000  0.5000 x2
O  0.0000  0.0000  0.3010 x4
O  0.0000  0.2841  0.5000 x4

Record 4
Theoretical powder XRD pattern of KIn6Au3 for Cu Kα, 1.54184 Å, from DFT lattice parameters and positions (GGA-PBE).
Peak positions follow from Bragg's law for the DFT cell and can differ from measured ones.

Peak list (6 most intense, 10 to 90 degrees two-theta, by angle)
hkl 2 0 -1, 2θ 18.07, I = 81.1
hkl 2 0 -4, 2θ 36.27, I = 71.1
hkl 2 1 3, 2θ 37.19, I = 68.6
hkl 0 2 0, 2θ 38.61, I = 100.0
hkl 4 1 -1, 2θ 39.54, I = 72.5
hkl 1 1 4, 2θ 40.55, I = 90.0

Cell lengths 10.5744, 4.6633, 10.7242 Å; angles 90.00, 95.40, 90.00 degrees
Space group P2_1/m (No. 11)
One atom of each set of equivalent atoms:
K  0.0866  0.2500  0.2279 x2
In  0.1167  0.7500  0.4805 x2
In  0.1451  0.2500  0.9210 x2
In  0.2675  0.7500  0.7552 x2
In  0.3364  0.7500  0.2960 x2
In  0.3724  0.2500  0.5611 x2
In  0.4415  0.2500  0.0773 x2
Au  0.1302  0.2500  0.6491 x2
Au  0.2911  0.7500  0.0227 x2
Au  0.4902  0.2500  0.3390 x2

Record 5
Theoretical powder XRD pattern of Mg2NpNi9 for Cu Kα, 1.54184 Å, from DFT lattice parameters and positions (GGA-PBE).
Peak positions follow from Bragg's law for the DFT cell and can differ from measured ones.

Peak list (6 most intense, 10 to 90 degrees two-theta, by angle)
hkl 0 0 3, 2θ 11.21, I = 58.4
hkl 1 0 4, 2θ 26.07, I = 29.7
hkl 1 1 0, 2θ 37.21, I = 41.4
hkl 0 2 1, 2θ 43.41, I = 26.0
hkl 1 1 6, 2θ 43.94, I = 100.0
hkl 0 3 6, 2θ 71.76, I = 23.7

Cell lengths 4.8329, 4.8329, 23.6798 Å; angles 90.00, 90.00, 120.00 degrees
Space group R-3m (No. 166, hexagonal axes)
One atom of each set of equivalent atoms:
Mg  0.0000  0.0000  0.1443 x6
Np  0.0000  0.0000  0.0000 x3
Ni  0.0000  0.0000  0.3337 x6
Ni  0.0000  0.0000  0.5000 x3
Ni  0.0022  0.5011  0.9157 x18

Record 6
Theoretical powder XRD pattern of In5Ga6Sn2 for Cu Kα, 1.54184 Å, from DFT lattice parameters and positions (GGA-PBE).
Peak positions follow from Bragg's law for the DFT cell and can differ from measured ones.

Peak list (6 most intense, 10 to 90 degrees two-theta, by angle)
hkl 1 1 0, 2θ 23.56, I = 67.3
hkl 1 1 6, 2θ 30.48, I = 100.0
hkl 1 1 9, 2θ 37.51, I = 59.9
hkl 3 0 0, 2θ 41.42, I = 66.7
hkl 2 2 6, 2θ 52.29, I = 21.6
hkl 3 0 12, 2θ 57.95, I = 26.8

Cell lengths 7.5510, 7.5510, 27.9420 Å; angles 90.00, 90.00, 120.00 degrees
Space group R-3m (No. 166, hexagonal axes)
One atom of each set of equivalent atoms:
In  0.0000  0.0000  0.0000 x3
In  0.0000  0.0000  0.2432 x6
In  0.0000  0.0000  0.4231 x6
Ga  0.0000  0.3324  0.5000 x18
Sn  0.0000  0.0000  0.1052 x6

Record 7
Theoretical powder XRD pattern of Sc3Pb5 for Cu Kα, 1.54184 Å, from DFT lattice parameters and positions (GGA-PBE).
Peak positions follow from Bragg's law for the DFT cell and can differ from measured ones.

Peak list (6 most intense, 10 to 90 degrees two-theta, by angle)
hkl 0 2 1, 2θ 26.36, I = 16.0
hkl 2 2 1, 2θ 33.04, I = 100.0
hkl 0 4 0, 2θ 35.06, I = 21.8
hkl 4 0 0, 2θ 39.77, I = 15.9
hkl 0 0 2, 2θ 40.03, I = 15.8
hkl 2 6 1, 2θ 61.62, I = 15.9

Cell lengths 9.0698, 10.2365, 4.5046 Å; angles 90.00, 90.00, 90.00 degrees
Space group Cmmm (No. 65)
One atom of each set of equivalent atoms:
Sc  0.0000  0.0000  0.0000 x2
Sc  0.0000  0.2779  0.5000 x4
Pb  0.0000  0.5000  0.0000 x2
Pb  0.2214  0.0000  0.5000 x4
Pb  0.2500  0.2500  0.0000 x4

Record 8
Theoretical powder XRD pattern of PuCdIn2 for Cu Kα, 1.54184 Å, from DFT lattice parameters and positions (GGA-PBE).
Peak positions follow from Bragg's law for the DFT cell and can differ from measured ones.

Peak list (6 most intense, 10 to 90 degrees two-theta, by angle)
hkl 1 0 2, 2θ 33.40, I = 100.0
hkl 1 1 0, 2θ 38.43, I = 34.4
hkl 0 0 4, 2θ 39.39, I = 15.6
hkl 1 1 4, 2θ 56.21, I = 21.9
hkl 2 1 2, 2θ 66.32, I = 27.0
hkl 1 0 6, 2θ 67.63, I = 12.0

Cell lengths 3.3127, 3.3127, 9.1495 Å; angles 90.00, 90.00, 90.00 degrees
Space group P4/mmm (No. 123)
One atom of each set of equivalent atoms:
Pu  0.0000  0.0000  0.0000 x1
Cd  0.0000  0.0000  0.5000 x1
In  0.5000  0.5000  0.2606 x2

Record 9
Theoretical powder XRD pattern of AcTb2PmHo4 for Cu Kα, 1.54184 Å, from DFT lattice parameters and positions (GGA-PBE).
Peak positions follow from Bragg's law for the DFT cell and can differ from measured ones.

Peak list (6 most intense, 10 to 90 degrees two-theta, by angle)
hkl 0 4 0, 2θ 26.55, I = 50.9
hkl 0 0 2, 2θ 29.90, I = 75.8
hkl 4 0 0, 2θ 30.02, I = 37.7
hkl 4 4 0, 2θ 40.44, I = 100.0
hkl 4 4 2, 2θ 60.45, I = 20.5
hkl 4 8 0, 2θ 63.60, I = 25.5

Cell lengths 13.7652, 13.4278, 6.9107 Å; angles 90.00, 120.12, 90.00 degrees
Space group C2/c (No. 15)
One atom of each set of equivalent atoms:
Ac  0.2500  0.2500  0.0000 x4
Tb  0.0000  0.0000  0.0000 x4
Tb  0.2500  0.2500  0.5000 x4
Pm  0.0000  0.5000  0.0000 x4
Ho  0.9998  0.2473  0.0127 x8
Ho  0.2471  0.0091  0.4957 x8

Record 10
Theoretical powder XRD pattern of KGePCO7 for Cu Kα, 1.54184 Å, from DFT lattice parameters and positions (GGA-PBE).
Peak positions follow from Bragg's law for the DFT cell and can differ from measured ones.

Peak list (6 most intense, 10 to 90 degrees two-theta, by angle)
hkl 0 1 1, 2θ 17.03, I = 44.8
hkl 1 0 -1, 2θ 18.90, I = 33.3
hkl 1 0 1, 2θ 21.56, I = 45.6
hkl 1 1 -2, 2θ 27.89, I = 47.9
hkl 1 0 2, 2θ 28.07, I = 50.8
hkl 0 2 0, 2θ 28.66, I = 100.0

Cell lengths 4.9996, 6.2296, 9.6119 Å; angles 90.00, 99.11, 90.00 degrees
Space group P2_1 (No. 4)
One atom of each set of equivalent atoms:
K  0.0878  0.0000  0.1511 x2
Ge  0.2740  0.9380  0.6528 x2
P  0.2971  0.4359  0.5612 x2
C  0.4593  0.9357  0.8960 x2
O  0.0902  0.4349  0.4250 x2
O  0.1934  0.9349  0.8455 x2
O  0.2658  0.2432  0.6581 x2
O  0.2657  0.6297  0.6573 x2
O  0.3983  0.4332  0.2110 x2
O  0.4139  0.9369  0.4811 x2
O  0.4420  0.4378  0.9775 x2

Record 11
Theoretical powder XRD pattern of Li3Cu4Si for Cu Kα, 1.54184 Å, from DFT lattice parameters and positions (GGA-PBE).
Peak positions follow from Bragg's law for the DFT cell and can differ from measured ones.

Peak list (6 most intense, 10 to 90 degrees two-theta, by angle)
hkl 0 1 1, 2θ 21.37, I = 75.5
hkl 1 0 1, 2θ 25.81, I = 90.3
hkl 1 2 1, 2θ 33.37, I = 65.0
hkl 2 2 0, 2θ 41.75, I = 78.0
hkl 2 1 1, 2θ 42.07, I = 69.8
hkl 0 2 2, 2θ 43.54, I = 100.0

Cell lengths 5.0171, 8.5460, 4.7580 Å; angles 90.00, 90.00, 90.00 degrees
Space group Imm2 (No. 44)
One atom of each set of equivalent atoms:
Li  0.0000  0.0000  0.0000 x2
Li  0.0000  0.2523  0.7624 x4
Cu  0.0000  0.2507  0.2732 x4
Cu  0.2481  0.0000  0.4792 x4
Si  0.0000  0.5000  0.4562 x2

Record 12
Theoretical powder XRD pattern of Rb2BeGeTe4 for Cu Kα, 1.54184 Å, from DFT lattice parameters and positions (GGA-PBE).
Peak positions follow from Bragg's law for the DFT cell and can differ from measured ones.

Peak list (6 most intense, 10 to 90 degrees two-theta, by angle)
hkl 0 0 4, 2θ 13.62, I = 30.5
hkl 1 3 3, 2θ 24.60, I = 100.0
hkl 0 0 8, 2θ 27.52, I = 24.8
hkl 2 0 2, 2θ 28.21, I = 84.5
hkl 2 0 10, 2θ 44.62, I = 25.9
hkl 2 6 0, 2θ 45.52, I = 26.1

Cell lengths 6.5364, 15.0854, 25.9311 Å; angles 90.00, 90.00, 90.00 degrees
Space group Fddd (No. 70, origin choice 2)
One atom of each set of equivalent atoms:
Rb  0.1250  0.1250  0.3083 x16
Be  0.1250  0.1250  0.1250 x8
Ge  0.1250  0.1250  0.6250 x8
Te  0.1125  0.2817  0.4276 x32